(1)
Theoretical PXRD pattern of Er12InNi5 for Cu Kα (weighted mean of Kα1 and Kα2), from a cell relaxed with PBE.
Intensities are scaled so that the largest is 100.

The 10 most intense peaks (10° ≤ 2θ ≤ 90°), by angle:
2θ = 28.9°, I 28; 2θ = 29.8°, I 30; 2θ = 30.4°, I 33; 2θ = 32.6°, I 100; 2θ = 34.9°, I 61; 2θ = 35.2°, I 61; 2θ = 35.7°, I 33; 2θ = 35.9°, I 32; 2θ = 60.0°, I 27; 2θ = 61.0°, I 33

Atomic structure:
Cell lengths 8.2379, 8.2379, 8.2379 Å; angles 111.44, 110.13, 106.87 degrees
Positions (direct):
Er: 0.0238 0.2148 0.8090
Er: 0.1825 0.2921 0.4747
Er: 0.1825 0.7079 0.8904
Er: 0.3222 0.0175 0.6953
Er: 0.3222 0.6268 0.3047
Er: 0.4058 0.2148 0.1910
Er: 0.5942 0.7852 0.8090
Er: 0.6778 0.3732 0.6953
Er: 0.6778 0.9825 0.3047
Er: 0.8175 0.2921 0.1096
Er: 0.8175 0.7079 0.5253
Er: 0.9762 0.7852 0.1910
In: 0.5000 0.5000 0.0000
Ni: 0.0000 0.0000 0.0000
Ni: 0.1234 0.6234 0.5000
Ni: 0.3634 0.0000 0.3634
Ni: 0.6366 0.0000 0.6366
Ni: 0.8766 0.3766 0.5000



(2)
Theoretical PXRD pattern of SrNi2AsH2 for Cu Kα (weighted mean of Kα1 and Kα2), from a cell relaxed with PBE.
Intensities are scaled so that the largest is 100.

The 10 most intense peaks (10° ≤ 2θ ≤ 90°), by angle:
2θ = 14.0°, I 46; 2θ = 16.0°, I 31; 2θ = 25.3°, I 100; 2θ = 32.3°, I 42; 2θ = 33.6°, I 51; 2θ = 39.1°, I 27; 2θ = 40.4°, I 58; 2θ = 41.2°, I 33; 2θ = 43.8°, I 55; 2θ = 55.7°, I 41

Atomic structure:
Cell lengths 5.8044, 5.0038, 6.6027 Å; angles 90.00, 107.03, 90.00 degrees
Positions (direct):
Sr: 0.1888 0.2500 0.3289
Sr: 0.8112 0.7500 0.6711
Ni: 0.3458 0.0010 0.8065
Ni: 0.3458 0.4990 0.8065
Ni: 0.6542 0.5010 0.1935
Ni: 0.6542 0.9990 0.1935
As: 0.2971 0.7500 0.0896
As: 0.7029 0.2500 0.9104
H: 0.1580 0.2500 0.7091
H: 0.2863 0.7500 0.6334
H: 0.7137 0.2500 0.3666
H: 0.8420 0.7500 0.2909



(3)
Theoretical PXRD pattern of Sc3Ni8Sb for Cu Kα (weighted mean of Kα1 and Kα2), from a cell relaxed with PBE.
Intensities are scaled so that the largest is 100.

The 10 most intense peaks (10° ≤ 2θ ≤ 90°), by angle:
2θ = 22.2°, I 12; 2θ = 36.7°, I 35; 2θ = 43.3°, I 100; 2θ = 43.4°, I 33; 2θ = 45.3°, I 15; 2θ = 45.4°, I 40; 2θ = 70.7°, I 21; 2θ = 70.8°, I 14; 2θ = 78.0°, I 15; 2θ = 78.2°, I 16

Atomic structure:
Cell lengths 8.4955, 8.4955, 8.4955 Å; angles 33.46, 33.46, 33.46 degrees
Positions (direct):
Sc: 0.0000 0.0000 0.0000
Sc: 0.1265 0.1265 0.1265
Sc: 0.5044 0.5044 0.5044
Ni: 0.0624 0.0624 0.5611
Ni: 0.0624 0.5611 0.0624
Ni: 0.0671 0.5645 0.5645
Ni: 0.3137 0.3137 0.3137
Ni: 0.5611 0.0624 0.0624
Ni: 0.5645 0.0671 0.5645
Ni: 0.5645 0.5645 0.0671
Ni: 0.8133 0.8133 0.8133
Sb: 0.6291 0.6291 0.6291



(4)
Theoretical PXRD pattern of Pr3DyBi3 for Cu Kα (weighted mean of Kα1 and Kα2), from a cell relaxed with PBE.
Intensities are scaled so that the largest is 100.

The 10 most intense peaks (10° ≤ 2θ ≤ 90°), by angle:
2θ = 18.9°, I 43; 2θ = 23.4°, I 33; 2θ = 27.5°, I 60; 2θ = 29.4°, I 49; 2θ = 30.5°, I 73; 2θ = 33.0°, I 82; 2θ = 33.6°, I 100; 2θ = 34.5°, I 50; 2θ = 43.5°, I 25; 2θ = 60.4°, I 27

Atomic structure:
Cell lengths 8.4483, 8.4483, 8.4483 Å; angles 67.52, 67.52, 67.52 degrees
Positions (direct):
Pr: 0.0897 0.8236 0.3431
Pr: 0.1764 0.6569 0.9103
Pr: 0.3431 0.0897 0.8236
Pr: 0.6569 0.9103 0.1764
Pr: 0.8236 0.3431 0.0897
Pr: 0.9103 0.1764 0.6569
Dy: 0.3326 0.3326 0.3326
Dy: 0.6674 0.6674 0.6674
Bi: 0.0762 0.4730 0.6910
Bi: 0.3090 0.9238 0.5270
Bi: 0.4730 0.6910 0.0762
Bi: 0.5270 0.3090 0.9238
Bi: 0.6910 0.0762 0.4730
Bi: 0.9238 0.5270 0.3090



(5)
Theoretical PXRD pattern of Ba2H4Pt for Cu Kα (weighted mean of Kα1 and Kα2), from a cell relaxed with PBE.
Intensities are scaled so that the largest is 100.

The 10 most intense peaks (10° ≤ 2θ ≤ 90°), by angle:
2θ = 25.7°, I 78; 2θ = 27.9°, I 39; 2θ = 28.1°, I 100; 2θ = 30.5°, I 83; 2θ = 31.1°, I 83; 2θ = 37.4°, I 51; 2θ = 37.7°, I 51; 2θ = 42.2°, I 26; 2θ = 53.5°, I 25; 2θ = 67.9°, I 25

Atomic structure:
Cell lengths 8.2061, 5.7592, 10.2244 Å; angles 90.00, 90.00, 90.00 degrees
Positions (direct):
Ba: 0.0182 0.2500 0.1657
Ba: 0.1517 0.7500 0.4051
Ba: 0.3483 0.2500 0.9051
Ba: 0.4818 0.7500 0.6657
Ba: 0.5182 0.2500 0.3343
Ba: 0.6517 0.7500 0.0949
Ba: 0.8483 0.2500 0.5949
Ba: 0.9818 0.7500 0.8343
H: 0.0443 0.7500 0.1325
H: 0.1413 0.2500 0.4367
H: 0.1791 0.0032 0.6577
H: 0.1791 0.4968 0.6577
H: 0.3209 0.5032 0.1577
H: 0.3209 0.9968 0.1577
H: 0.3587 0.7500 0.9367
H: 0.4557 0.2500 0.6324
H: 0.5443 0.7500 0.3676
H: 0.6413 0.2500 0.0633
H: 0.6791 0.0032 0.8423
H: 0.6791 0.4968 0.8423
H: 0.8209 0.5032 0.3423
H: 0.8209 0.9968 0.3423
H: 0.8587 0.7500 0.5633
H: 0.9557 0.2500 0.8676
Pt: 0.2397 0.7500 0.0743
Pt: 0.2603 0.2500 0.5743
Pt: 0.7397 0.7500 0.4257
Pt: 0.7603 0.2500 0.9257



(6)
Theoretical PXRD pattern of SrAcAgS3 for Cu Kα (weighted mean of Kα1 and Kα2), from a cell relaxed with PBE.
Intensities are scaled so that the largest is 100.

The 10 most intense peaks (10° ≤ 2θ ≤ 90°), by angle:
2θ = 13.2°, I 90; 2θ = 20.6°, I 36; 2θ = 26.5°, I 33; 2θ = 27.2°, I 95; 2θ = 30.1°, I 30; 2θ = 31.9°, I 38; 2θ = 33.2°, I 100; 2θ = 41.9°, I 31; 2θ = 42.8°, I 24; 2θ = 43.0°, I 40

Atomic structure:
Cell lengths 7.0419, 7.0419, 11.2340 Å; angles 90.00, 90.00, 145.09 degrees
Positions (direct):
Sr: 0.2455 0.7545 0.7500
Sr: 0.7545 0.2455 0.2500
Ac: 0.0000 0.0000 0.0000
Ac: 0.0000 0.0000 0.5000
Ag: 0.4790 0.5210 0.2500
Ag: 0.5210 0.4790 0.7500
S: 0.0921 0.9079 0.2500
S: 0.3565 0.6435 0.0772
S: 0.3565 0.6435 0.4228
S: 0.6435 0.3565 0.5772
S: 0.6435 0.3565 0.9228
S: 0.9079 0.0921 0.7500